For YTe2O5, a DFT-relaxed cell (PBE, Alexandria) gives the calculated powder XRD pattern in this record (Cu Kα X-rays).
Neutral-atom scattering factors, no anomalous dispersion.

Structure:
Unit cell a=7.360 b=10.732 c=7.081 alpha=90.00 beta=90.00 gamma=90.00
Element x y z (fractional)
Y 0.000 0.056 0.250
Y 0.000 0.944 0.750
Y 0.500 0.444 0.750
Y 0.500 0.556 0.250
Te 0.107 0.351 0.017
Te 0.107 0.649 0.517
Te 0.393 0.149 0.517
Te 0.393 0.851 0.017
Te 0.607 0.149 0.983
Te 0.607 0.851 0.483
Te 0.893 0.351 0.483
Te 0.893 0.649 0.983
O 0.000 0.438 0.250
O 0.000 0.562 0.750
O 0.159 0.065 0.530
O 0.159 0.935 0.030
O 0.185 0.213 0.170
O 0.185 0.787 0.670
O 0.315 0.287 0.670
O 0.315 0.713 0.170
O 0.341 0.435 0.030
O 0.341 0.565 0.530
O 0.500 0.062 0.750
O 0.500 0.938 0.250
O 0.659 0.435 0.470
O 0.659 0.565 0.970
O 0.685 0.287 0.830
O 0.685 0.713 0.330
O 0.815 0.213 0.330
O 0.815 0.787 0.830
O 0.841 0.065 0.970
O 0.841 0.935 0.470

Principal peaks in the range 2θ from 10° to 80°, sorted by position:
2θ 19.3, I = 29, hkl 1 1 1
2θ 24.1, I = 100, hkl 1 2 1
2θ 27.7, I = 64, hkl 1 3 0
2θ 28.6, I = 92, hkl 2 1 1
2θ 29.2, I = 66, hkl 1 1 2
2θ 42.5, I = 40, hkl 3 2 1
2θ 43.7, I = 30, hkl 1 2 3
2θ 50.9, I = 33, hkl 2 5 1